Structure and theoretical X-ray diffraction stick pattern of NdSn5Te7 (a crystal structure in Alexandria, relaxed with GGA-PBE; λ = 1.5418 Å (Cu Kα)).
No peak broadening, texture or thermal motion is included.

Most intense lines, 2θ from 10° to 90°, in order of rising 2θ:
2θ = 26.6°, I 66, (0 2 7); 2θ = 27.8°, I 100, (1 3 2); 2θ = 28.8°, I 89, (1 3 3); 2θ = 29.8°, I 30, (0 2 8); 2θ = 37.5°, I 40, (1 1 9); 2θ = 38.8°, I 29, (1 5 4); 2θ = 39.9°, I 32, (0 6 5); 2θ = 40.2°, I 36, (1 5 5); 2θ = 40.5°, I 32, (1 1 10); 2θ = 40.8°, I 42, (2 0 0)

```
data_NdSn5Te7
_space_group_name_H-M_alt 'C m c 21'
_space_group_IT_number 36
_cell_length_a 4.4195
_cell_length_b 15.0112
_cell_length_c 26.1981
_cell_angle_alpha 90.00
_cell_angle_beta 90.00
_cell_angle_gamma 90.00
loop_
_space_group_symop_operation_xyz
'x,y,z'
'-x,-y,z+1/2'
'-x,y,z'
'x,-y,z+1/2'
'x+1/2,y+1/2,z'
'-x+1/2,-y+1/2,z+1/2'
'-x+1/2,y+1/2,z'
'x+1/2,-y+1/2,z+1/2'
loop_
_atom_site_label
_atom_site_type_symbol
_atom_site_fract_x
_atom_site_fract_y
_atom_site_fract_z
Nd1 Nd 0.0000 0.2066 0.0000
Sn1 Sn 0.0000 0.0097 0.2421
Sn2 Sn 0.0000 0.2602 0.6657
Sn3 Sn 0.0000 0.2844 0.3144
Sn4 Sn 0.0000 0.4445 0.8886
Sn5 Sn 0.0000 0.4723 0.0915
Te1 Te 0.0000 0.0764 0.8475
Te2 Te 0.0000 0.1154 0.1186
Te3 Te 0.0000 0.1725 0.5613
Te4 Te 0.0000 0.2020 0.4218
Te5 Te 0.0000 0.3516 0.7779
Te6 Te 0.0000 0.3756 0.2031
Te7 Te 0.0000 0.4432 0.4873
```